Diffraction record for SrGdCo2Si2. The powder diffraction line list is computed, not measured: it uses the PBE geometry in OQMD and CuKα.
Intensities are scaled so that the largest is 1000.

The 8 most intense peaks (15 to 90 degrees two-theta), by angle:
d_spacing	Position (°2θ)	I/Imax
3.479	25.60	998
2.806	31.90	302
2.674	33.51	953
2.616	34.28	660
2.217	40.69	1000
1.984	45.74	636
1.647	55.83	314
1.593	57.88	391

Cell: 3.968 3.968 7.239 Å, 90.00 90.00 90.00°
Space group P4mm (No. 99)
Symmetry-distinct sites (fractional):
Sr1 0.000 0.000 0.000
Gd1 0.500 0.500 0.639
Co1 0.000 0.500 0.345
Si1 0.000 0.000 0.509
Si2 0.500 0.500 0.177

=====

Diffraction record for ErSiH2O4. The powder diffraction line list is computed, not measured: it uses the PBE geometry in OQMD and CuKα.
Intensities are scaled so that the largest is 1000.

The 8 most intense peaks (15 to 90 degrees two-theta), by angle:
d_spacing	Position (°2θ)	I/Imax
4.583	19.37	1000
4.183	21.24	614
3.499	25.46	663
3.293	27.07	677
2.797	32.00	396
2.675	33.51	496
2.504	35.86	394
2.493	36.03	535

Cell: 4.783 6.587 11.304 Å, 90.00 106.64 90.00°
Space group P2_1/c (No. 14)
Symmetry-distinct sites (fractional):
Er1 0.001 0.246 0.326
Si1 0.270 0.235 0.105
H1 0.352 0.742 0.498
H2 0.466 0.015 0.745
O1 0.065 0.743 0.992
O2 0.216 0.047 0.201
O3 0.251 0.057 0.702
O4 0.413 0.236 0.982

=====

Repeat the first record exactly.
Diffraction record for SrGdCo2Si2. The powder diffraction line list is computed, not measured: it uses the PBE geometry in OQMD and CuKα.
Intensities are scaled so that the largest is 1000.

The 8 most intense peaks (15 to 90 degrees two-theta), by angle:
d_spacing	Position (°2θ)	I/Imax
3.479	25.60	998
2.806	31.90	302
2.674	33.51	953
2.616	34.28	660
2.217	40.69	1000
1.984	45.74	636
1.647	55.83	314
1.593	57.88	391

Cell: 3.968 3.968 7.239 Å, 90.00 90.00 90.00°
Space group P4mm (No. 99)
Symmetry-distinct sites (fractional):
Sr1 0.000 0.000 0.000
Gd1 0.500 0.500 0.639
Co1 0.000 0.500 0.345
Si1 0.000 0.000 0.509
Si2 0.500 0.500 0.177